No. 1
Calculated powder diffractogram of Pu3Tl4InO12 for Cu Kα, from a cell relaxed with PBE.

Top 10 peaks for 2θ from 15° to 90°, low angle first:
2θ 25.4, rel. 17; 2θ 29.4, rel. 1000; 2θ 33.0, rel. 8; 2θ 39.3, rel. 10; 2θ 42.1, rel. 262; 2θ 52.2, rel. 425; 2θ 61.1, rel. 172; 2θ 69.2, rel. 188; 2θ 76.9, rel. 58; 2θ 84.4, rel. 226

Atomic structure:
```
20
Lattice="-4.2929 4.2929 4.2929 4.2929 -4.2929 4.2929 4.2929 4.2929 -4.2929" Properties=species:S:1:pos:R:3 pbc="T T T"
Pu 4.2929 0.0000 0.0000
Pu 0.0000 4.2929 0.0000
Pu 0.0000 0.0000 4.2929
Tl 2.1465 2.1465 -2.1465
Tl 2.1465 -2.1465 2.1465
Tl -2.1465 2.1465 2.1465
Tl 2.1465 2.1465 2.1465
In 0.0000 0.0000 0.0000
O 2.2588 0.0000 0.0000
O 6.3271 0.0000 0.0000
O 4.2929 2.1465 0.0000
O 4.2929 0.0000 2.1465
O 0.0000 2.2588 0.0000
O 0.0000 0.0000 2.2588
O 2.1465 4.2929 0.0000
O 2.1465 0.0000 4.2929
O 0.0000 6.3271 0.0000
O 0.0000 0.0000 6.3271
O 0.0000 4.2929 2.1465
O 0.0000 2.1465 4.2929
```

---

No. 2
Calculated powder diffractogram of TbTlAgI5 for Cu Kα, from a cell relaxed with PBE.

Top 10 peaks for 2θ from 15° to 90°, low angle first:
2θ 17.2, rel. 770; 2θ 19.4, rel. 387; 2θ 21.3, rel. 340; 2θ 24.4, rel. 479; 2θ 24.6, rel. 1000; 2θ 27.3, rel. 300; 2θ 28.1, rel. 309; 2θ 35.4, rel. 424; 2θ 36.5, rel. 314; 2θ 41.5, rel. 378

Atomic structure:
```
16
Lattice="4.9256 -6.8681 0.0000 4.9256 6.8681 0.0000 -4.2683 0.0000 10.5356" Properties=species:S:1:pos:R:3 pbc="T T T"
Tb 0.0000 0.0000 0.0000
Tb -2.1342 0.0000 5.2678
Tl 1.7244 1.7615 7.9017
Tl 3.8586 -1.7615 2.6339
Ag 3.8586 2.6125 2.6339
Ag 1.7244 -2.6125 7.9017
I 2.0081 4.1884 4.0718
I 1.7244 5.6754 7.9017
I 2.8724 0.9026 0.5389
I 5.7091 4.1884 1.1960
I 0.7382 -0.9026 5.8067
I 4.8448 0.9026 4.7289
I -0.1261 -4.1884 9.3396
I 2.7106 -0.9026 9.9967
I 3.8586 -5.6754 2.6339
I 3.5749 -4.1884 6.4638
```

---

No. 3
Calculated powder diffractogram of MgIn2NiSn for Cu Kα, from a cell relaxed with PBE.

Top 10 peaks for 2θ from 15° to 90°, low angle first:
2θ 17.9, rel. 249; 2θ 25.5, rel. 443; 2θ 31.3, rel. 1000; 2θ 36.3, rel. 338; 2θ 36.4, rel. 670; 2θ 44.9, rel. 195; 2θ 52.3, rel. 694; 2θ 62.3, rel. 278; 2θ 65.4, rel. 233; 2θ 88.5, rel. 211

Atomic structure:
```
5
Lattice="4.9380 0.0000 0.0000 0.0000 4.9380 0.0000 0.0000 0.0000 4.9547" Properties=species:S:1:pos:R:3 pbc="T T T"
Mg 0.0000 0.0000 0.0000
In 0.0000 2.4690 2.4774
In 2.4690 0.0000 2.4774
Ni 0.0000 0.0000 2.4774
Sn 2.4690 2.4690 0.0000
```

---

No. 4
Calculated powder diffractogram of Ba2DyVN4 for Cu Kα, from a cell relaxed with PBE.

Top 10 peaks for 2θ from 15° to 90°, low angle first:
2θ 16.5, rel. 839; 2θ 17.8, rel. 726; 2θ 27.0, rel. 813; 2θ 27.7, rel. 376; 2θ 29.0, rel. 1000; 2θ 29.9, rel. 568; 2θ 34.5, rel. 689; 2θ 35.0, rel. 839; 2θ 40.5, rel. 394; 2θ 51.2, rel. 406

Atomic structure:
```
16
Lattice="0.0000 5.9768 10.7629 2.8405 0.0000 10.7629 2.8405 5.9768 0.0000" Properties=species:S:1:pos:R:3 pbc="T T T"
Ba 2.1304 4.4826 1.3722
Ba 3.5507 7.4710 6.7537
Ba 2.1304 4.4826 14.7721
Ba 3.5507 7.4710 20.1536
Dy 0.7101 1.4942 2.6907
Dy 4.9709 10.4593 18.8351
V 2.1304 4.4826 8.0722
V 3.5507 7.4710 13.4536
N 3.2989 3.3376 7.2146
N 3.2989 5.6276 8.9298
N 4.7192 6.3260 14.3113
N 4.7192 8.6160 12.5960
N 0.9619 3.3376 8.9298
N 0.9619 5.6276 7.2146
N 2.3822 6.3260 12.5960
N 2.3822 8.6160 14.3113
```

---

No. 5
Calculated powder diffractogram of TmAl2Ni for Cu Kα, from a cell relaxed with PBE.

Top 10 peaks for 2θ from 15° to 90°, low angle first:
2θ 22.0, rel. 228; 2θ 23.7, rel. 690; 2θ 26.0, rel. 528; 2θ 35.4, rel. 971; 2θ 37.4, rel. 1000; 2θ 38.4, rel. 551; 2θ 44.7, rel. 278; 2θ 53.6, rel. 302; 2θ 59.2, rel. 157; 2θ 60.4, rel. 290

Atomic structure:
```
8
Lattice="2.0279 -4.9856 0.0000 2.0279 4.9856 0.0000 0.0000 0.0000 6.8667" Properties=species:S:1:pos:R:3 pbc="T T T"
Tm 2.0279 4.3632 5.1500
Tm 2.0279 -4.3632 1.7167
Al 2.0279 1.5370 3.8037
Al 2.0279 1.5370 6.4963
Al 2.0279 -1.5370 0.3704
Al 2.0279 -1.5370 3.0629
Ni 2.0279 2.8417 1.7167
Ni 2.0279 -2.8417 5.1500
```

---

No. 6
Calculated powder diffractogram of Ca4GaRu for Cu Kα, from a cell relaxed with PBE.

Top 10 peaks for 2θ from 15° to 90°, low angle first:
2θ 20.6, rel. 392; 2θ 21.7, rel. 461; 2θ 30.9, rel. 584; 2θ 33.4, rel. 753; 2θ 33.7, rel. 850; 2θ 36.3, rel. 591; 2θ 36.7, rel. 1000; 2θ 37.8, rel. 643; 2θ 43.1, rel. 323; 2θ 56.9, rel. 388

Atomic structure:
```
12
Lattice="4.5595 -6.9851 0.0000 4.5595 6.9851 0.0000 -1.7883 0.0000 5.2381" Properties=species:S:1:pos:R:3 pbc="T T T"
Ca 1.8068 4.5503 4.8997
Ca 1.5781 1.0024 3.4132
Ca 4.6298 4.5503 2.9574
Ca 2.4723 -1.0024 0.7942
Ca 4.8584 1.0024 4.4439
Ca 2.7009 -4.5503 2.2807
Ca 5.7526 -1.0024 1.8249
Ca 5.5239 -4.5503 0.3383
Ga 4.1124 1.8557 1.3095
Ga 3.2183 -1.8557 3.9286
Ru 3.2183 6.9648 3.9286
Ru 4.1124 -6.9648 1.3095
```

---

No. 7
Calculated powder diffractogram of HfTcP for Cu Kα, from a cell relaxed with PBE.

Top 10 peaks for 2θ from 15° to 90°, low angle first:
2θ 26.6, rel. 265; 2θ 36.9, rel. 1000; 2θ 40.2, rel. 576; 2θ 41.2, rel. 510; 2θ 51.5, rel. 162; 2θ 57.3, rel. 156; 2θ 63.5, rel. 316; 2θ 68.0, rel. 214; 2θ 76.5, rel. 165; 2θ 80.6, rel. 149

Atomic structure:
```
18
Lattice="-3.5497 5.7926 3.3493 3.5497 -5.7926 3.3493 3.5497 5.7926 -3.3493" Properties=species:S:1:pos:R:3 pbc="T T T"
Hf 1.7749 0.0228 0.0000
Hf 1.7749 3.3716 -0.7831
Hf 1.7749 -2.3156 2.5825
Hf 1.7749 8.1082 -0.7669
Hf 1.7749 2.4210 2.5663
Hf 1.7749 5.7698 3.3493
Tc 0.0000 0.0000 2.2992
Tc 3.5497 0.0000 2.2992
Tc -0.1311 4.3593 1.4236
Tc 3.6808 4.3593 1.4236
Tc 0.1311 7.2259 1.4236
Tc -0.1311 1.4333 4.7729
P -0.0115 1.9377 0.5957
P 3.5613 1.9377 0.5957
P 1.7749 5.6261 0.6403
P 1.7749 0.1665 3.9896
P 0.0115 9.6475 0.5957
P -0.0115 3.8549 3.9450
```

---

No. 8
Calculated powder diffractogram of AcPmSmEr2 for Cu Kα, from a cell relaxed with PBE.

Top 10 peaks for 2θ from 15° to 90°, low angle first:
2θ 20.0, rel. 305; 2θ 24.7, rel. 334; 2θ 29.2, rel. 1000; 2θ 29.5, rel. 911; 2θ 30.8, rel. 369; 2θ 32.2, rel. 834; 2θ 34.3, rel. 372; 2θ 34.6, rel. 364; 2θ 39.2, rel. 824; 2θ 50.7, rel. 373

Atomic structure:
```
10
Lattice="3.2288 -8.7163 0.0000 3.2288 8.7163 0.0000 0.0000 0.0000 6.5361" Properties=species:S:1:pos:R:3 pbc="T T T"
Ac 3.2288 5.9622 4.9020
Ac 3.2288 -5.9622 1.6340
Pm 3.2288 2.6480 4.9020
Pm 3.2288 -2.6480 1.6340
Sm 3.2288 4.8088 1.6340
Sm 3.2288 -4.8088 4.9020
Er 1.6040 0.0000 0.0000
Er 1.6040 0.0000 3.2680
Er 4.8537 0.0000 0.0000
Er 4.8537 0.0000 3.2680
```

---

No. 9
Calculated powder diffractogram of Pa3Re4N12 for Cu Kα, from a cell relaxed with PBE.

Top 10 peaks for 2θ from 15° to 90°, low angle first:
2θ 16.1, rel. 160; 2θ 28.0, rel. 80; 2θ 32.5, rel. 1000; 2θ 36.5, rel. 39; 2θ 43.4, rel. 49; 2θ 46.6, rel. 229; 2θ 58.0, rel. 428; 2θ 68.1, rel. 141; 2θ 77.5, rel. 179; 2θ 86.5, rel. 50

Atomic structure:
```
19
Lattice="-3.8967 3.8967 3.8967 3.8967 -3.8967 3.8967 3.8967 3.8967 -3.8967" Properties=species:S:1:pos:R:3 pbc="T T T"
Pa 3.8967 0.0000 0.0000
Pa 0.0000 3.8967 0.0000
Pa 0.0000 0.0000 3.8967
Re 1.9483 1.9483 -1.9483
Re 1.9483 -1.9483 1.9483
Re -1.9483 1.9483 1.9483
Re 1.9483 1.9483 1.9483
N 3.8967 -1.5620 2.2511
N 2.3346 1.6456 0.0000
N 5.4587 1.6456 0.0000
N 2.2511 3.8967 -1.5620
N 1.6456 0.0000 2.3346
N 3.8967 1.5620 2.2511
N 0.0000 2.3346 1.6456
N 2.2511 3.8967 1.5620
N 1.6456 0.0000 5.4587
N -1.5620 2.2511 3.8967
N 1.5620 2.2511 3.8967
N 0.0000 5.4587 1.6456
```

---

No. 10
Calculated powder diffractogram of Tb5CeY2 for Cu Kα, from a cell relaxed with PBE.

Top 10 peaks for 2θ from 15° to 90°, low angle first:
2θ 17.6, rel. 36; 2θ 30.7, rel. 1000; 2θ 35.7, rel. 505; 2θ 51.3, rel. 357; 2θ 61.0, rel. 422; 2θ 64.0, rel. 121; 2θ 75.5, rel. 37; 2θ 83.7, rel. 174; 2θ 86.4, rel. 108; 2θ 86.5, rel. 54

Atomic structure:
```
16
Lattice="7.1251 0.0000 0.0000 0.0000 14.2541 0.0000 0.0000 0.0000 5.0328" Properties=species:S:1:pos:R:3 pbc="T T T"
Tb 0.0000 0.0000 0.0000
Tb 0.0081 3.5644 0.0000
Tb 1.7596 5.3621 2.5164
Tb 1.8029 12.4891 2.5164
Tb 3.5545 10.6914 0.0000
Tb 3.5626 7.1270 0.0000
Tb 3.5706 3.5627 0.0000
Tb 5.3222 1.7650 2.5164
Tb 5.3655 8.8920 2.5164
Tb 7.1171 10.6897 0.0000
Ce 0.0000 7.1270 0.0000
Ce 3.5626 0.0000 0.0000
Y 1.7503 8.8939 2.5164
Y 1.8123 1.7669 2.5164
Y 5.3128 12.4872 2.5164
Y 5.3748 5.3602 2.5164
```

---

No. 11
Calculated powder diffractogram of Li4CrHg for Cu Kα, from a cell relaxed with PBE.

Top 10 peaks for 2θ from 15° to 90°, low angle first:
2θ 21.0, rel. 1000; 2θ 24.3, rel. 281; 2θ 34.7, rel. 720; 2θ 40.9, rel. 665; 2θ 54.7, rel. 242; 2θ 56.3, rel. 129; 2θ 62.2, rel. 262; 2θ 66.4, rel. 214; 2θ 77.2, rel. 181; 2θ 83.6, rel. 116

Atomic structure:
```
6
Lattice="0.0000 3.6558 3.6558 3.6558 0.0000 3.6558 3.6558 3.6558 0.0000" Properties=species:S:1:pos:R:3 pbc="T T T"
Li 0.9143 0.9143 0.9143
Li 2.7415 2.7415 0.9143
Li 2.7415 0.9143 2.7415
Li 0.9143 2.7415 2.7415
Cr 5.4837 5.4837 5.4837
Hg 3.6558 3.6558 3.6558
```

---

Repeat the fourth record exactly.
Calculated powder diffractogram of Ba2DyVN4 for Cu Kα, from a cell relaxed with PBE.

Top 10 peaks for 2θ from 15° to 90°, low angle first:
2θ 16.5, rel. 839; 2θ 17.8, rel. 726; 2θ 27.0, rel. 813; 2θ 27.7, rel. 376; 2θ 29.0, rel. 1000; 2θ 29.9, rel. 568; 2θ 34.5, rel. 689; 2θ 35.0, rel. 839; 2θ 40.5, rel. 394; 2θ 51.2, rel. 406

Atomic structure:
```
16
Lattice="0.0000 5.9768 10.7629 2.8405 0.0000 10.7629 2.8405 5.9768 0.0000" Properties=species:S:1:pos:R:3 pbc="T T T"
Ba 2.1304 4.4826 1.3722
Ba 3.5507 7.4710 6.7537
Ba 2.1304 4.4826 14.7721
Ba 3.5507 7.4710 20.1536
Dy 0.7101 1.4942 2.6907
Dy 4.9709 10.4593 18.8351
V 2.1304 4.4826 8.0722
V 3.5507 7.4710 13.4536
N 3.2989 3.3376 7.2146
N 3.2989 5.6276 8.9298
N 4.7192 6.3260 14.3113
N 4.7192 8.6160 12.5960
N 0.9619 3.3376 8.9298
N 0.9619 5.6276 7.2146
N 2.3822 6.3260 12.5960
N 2.3822 8.6160 14.3113
```